Diffraction record for CaLa2WO6. The PXRD pattern is theoretical, not measured: it uses a crystal structure in Alexandria, relaxed with GGA+U and CuKα.

Cell and atoms:
abc: 6.0932 6.0932 13.5568
angles: 90.00 90.00 120.00
Space group R-3 (No. 148, hexagonal axes)
Unique sites:
Ca 0.0000 0.0000 0.0000 [3 per cell]
La 0.0000 0.0000 0.2721 [6 per cell]
W 0.0000 0.0000 0.5000 [3 per cell]
O 0.0300 0.4044 0.2495 [18 per cell]

Largest 10 diffraction maxima, in order of rising 2θ, 2θ from 15° to 90°:
2θ (°), I/Imax
18.04, 55
29.32, 100
31.37, 78
37.29, 24
43.47, 41
51.99, 30
53.29, 38
57.35, 16
60.81, 14
70.03, 15